1.
Calculated X-ray powder pattern
Compound: Be2P2PbO8
Radiation: Cu Ka
Structure: the GGA-PBE geometry in the Materials Project

Principal peaks in the range 10° ≤ 2θ ≤ 90°, sorted by position:
| 2θ (°) | I_rel |
| --- | --- |
| 14.25 | 60 |
| 14.54 | 55 |
| 17.92 | 37 |
| 23.61 | 100 |
| 24.68 | 89 |
| 26.08 | 63 |
| 31.38 | 47 |
| 34.94 | 40 |
| 39.96 | 41 |
| 42.74 | 34 |

Lattice parameters (Å, degrees): 8.179 9.125 8.494 90.00 90.11 90.00
Space group P2_1/c (No. 14)
Unique sites:
Be  0.072  0.082  0.273 [4 per cell]
Be  0.423  0.694  0.936 [4 per cell]
P  0.066  0.697  0.932 [4 per cell]
P  0.436  0.087  0.269 [4 per cell]
Pb  0.244  0.093  0.894 [4 per cell]
O  0.020  0.588  0.798 [4 per cell]
O  0.046  0.643  0.370 [4 per cell]
O  0.062  0.179  0.433 [4 per cell]
O  0.239  0.669  0.995 [4 per cell]
O  0.259  0.102  0.200 [4 per cell]
O  0.445  0.185  0.417 [4 per cell]
O  0.446  0.639  0.363 [4 per cell]
O  0.483  0.573  0.804 [4 per cell]

=====

2.
Calculated X-ray powder pattern
Compound: NdBr3
Radiation: Cu Ka
Structure: the GGA-PBE geometry in the Materials Project

Principal peaks in the range 10° ≤ 2θ ≤ 90°, sorted by position:
| 2θ (°) | I_rel |
| --- | --- |
| 12.31 | 100 |
| 28.55 | 24 |
| 29.63 | 23 |
| 30.16 | 82 |
| 31.48 | 54 |
| 36.85 | 45 |
| 39.41 | 28 |
| 41.04 | 24 |
| 42.45 | 28 |
| 55.03 | 28 |

Lattice parameters (Å, degrees): 4.126 14.380 9.280 90.00 90.00 90.00
Space group Cmcm (No. 63)
Unique sites:
Nd  0.000  0.241  0.250 [4 per cell]
Br  0.000  0.157  0.567 [8 per cell]
Br  0.000  0.403  0.750 [4 per cell]

=====

3.
Calculated X-ray powder pattern
Compound: Rb3LaCl6
Radiation: Cu Ka
Structure: the GGA-PBE geometry in the Materials Project

Principal peaks in the range 10° ≤ 2θ ≤ 90°, sorted by position:
| 2θ (°) | I_rel |
| --- | --- |
| 15.01 | 18 |
| 21.29 | 100 |
| 30.29 | 74 |
| 37.33 | 47 |
| 43.37 | 51 |
| 48.80 | 24 |
| 53.82 | 17 |
| 58.53 | 27 |
| 71.50 | 21 |
| 79.59 | 15 |

Lattice parameters (Å, degrees): 11.802 11.802 11.802 90.00 90.00 90.00
Space group Fm-3m (No. 225)
Unique sites:
Rb  0.000  0.000  0.000 [4 per cell]
Rb  0.250  0.250  0.250 [8 per cell]
La  0.000  0.000  0.500 [4 per cell]
Cl  0.000  0.000  0.265 [24 per cell]

=====

4.
Calculated X-ray powder pattern
Compound: RbNaMg14
Radiation: Cu Ka
Structure: the GGA-PBE geometry in the Materials Project

Principal peaks in the range 10° ≤ 2θ ≤ 90°, sorted by position:
| 2θ (°) | I_rel |
| --- | --- |
| 17.37 | 13 |
| 22.73 | 9 |
| 30.65 | 26 |
| 34.00 | 24 |
| 35.16 | 100 |
| 46.42 | 15 |
| 54.48 | 19 |
| 61.60 | 18 |
| 65.80 | 19 |
| 66.51 | 14 |

Lattice parameters (Å, degrees): 6.7369 6.7369 10.5458 90.00 90.00 120.00
Space group P-6m2 (No. 187)
Unique sites:
Rb  0.0000  0.0000  0.0000 [1 per cell]
Na  0.0000  0.0000  0.5000 [1 per cell]
Mg  0.0025  0.5012  0.5000 [3 per cell]
Mg  0.0059  0.5030  0.0000 [3 per cell]
Mg  0.1750  0.3499  0.2604 [6 per cell]
Mg  0.6667  0.3333  0.2472 [2 per cell]

=====

5.
Calculated X-ray powder pattern
Compound: MgHOF
Radiation: Cu Ka
Structure: the GGA-PBE geometry in the Materials Project

Principal peaks in the range 10° ≤ 2θ ≤ 90°, sorted by position:
| 2θ (°) | I_rel |
| --- | --- |
| 20.71 | 100 |
| 32.40 | 25 |
| 35.53 | 41 |
| 38.77 | 83 |
| 40.12 | 45 |
| 51.68 | 69 |
| 52.77 | 26 |
| 57.27 | 17 |
| 59.08 | 21 |
| 62.05 | 33 |

Lattice parameters (Å, degrees): 10.219 3.127 4.726 90.00 90.00 90.00
Space group Pnma (No. 62)
Unique sites:
Mg  0.132  0.250  0.011 [4 per cell]
H  0.071  0.750  0.589 [4 per cell]
O  0.050  0.750  0.789 [4 per cell]
F  0.207  0.750  0.252 [4 per cell]